Simulated powder X-ray diffraction pattern of K3Sr2S2I3 for CuKα, from a structure optimized by DFT (PBE).
Neutral-atom scattering factors, no anomalous dispersion.

The 10 most intense peaks (5 to 70 degrees two-theta), in order of rising 2θ:
| Position (°2θ) | I_rel | h k l |
| --- | --- | --- |
| 18.56 | 43 | 1 0 3 |
| 22.15 | 61 | 1 0 5 |
| 23.01 | 71 | 1 1 0 |
| 23.80 | 70 | 1 1 2 |
| 24.08 | 91 | 0 0 8 |
| 26.02 | 57 | 1 1 4 |
| 29.37 | 38 | 1 1 6 |
| 32.77 | 100 | 2 0 0 |
| 38.33 | 42 | 1 1 10 |
| 41.07 | 85 | 2 0 8 |

Structure:
abc: 5.466 5.466 29.571
angles: 90.00 90.00 90.00
Space group I4/mmm (No. 139)
Symmetry-distinct sites (fractional):
K 0.000 0.000 0.000 (multiplicity 2)
K 0.000 0.000 0.384 (multiplicity 4)
Sr 0.000 0.500 0.250 (multiplicity 4)
S 0.000 0.000 0.281 (multiplicity 4)
I 0.000 0.000 0.124 (multiplicity 4)
I 0.000 0.000 0.500 (multiplicity 2)

---

Simulated powder X-ray diffraction pattern of KAl2Sb for CuKα, from a structure optimized by DFT (PBE).
Neutral-atom scattering factors, no anomalous dispersion.

The 10 most intense peaks (5 to 70 degrees two-theta), in order of rising 2θ:
| Position (°2θ) | I_rel | h k l |
| --- | --- | --- |
| 15.11 | 100 | 0 1 0 |
| 15.58 | 82 | 0 0 1 |
| 28.22 | 48 | 0 2 1 |
| 29.42 | 36 | 1 1 1 |
| 30.49 | 37 | 0 2 0 |
| 31.47 | 35 | 0 0 2 |
| 32.38 | 33 | 1 1 0 |
| 32.71 | 32 | 1 -1 1 |
| 34.20 | 53 | -1 1 1 |
| 34.49 | 40 | 1 1 2 |

Structure:
abc: 3.462 6.380 6.408
angles: 67.58 74.93 89.86
Space group P-1 (No. 2)
Symmetry-distinct sites (fractional):
K 0.000 0.000 0.000 (multiplicity 1)
Al 0.199 0.603 0.599 (multiplicity 2)
Sb 0.500 0.500 0.000 (multiplicity 1)

---

Simulated powder X-ray diffraction pattern of SmTh3Sb4 for CuKα, from a structure optimized by DFT (PBE).
Neutral-atom scattering factors, no anomalous dispersion.

The 10 most intense peaks (5 to 70 degrees two-theta), in order of rising 2θ:
| Position (°2θ) | I_rel | h k l |
| --- | --- | --- |
| 24.18 | 6 | 2 0 0 |
| 28.06 | 100 | 1 2 1 |
| 39.94 | 13 | 2 0 2 |
| 40.11 | 52 | 3 2 -1 |
| 40.25 | 13 | 0 4 0 |
| 49.53 | 14 | 4 0 0 |
| 49.79 | 14 | 2 4 -2 |
| 58.01 | 13 | 2 4 2 |
| 65.43 | 6 | 3 2 3 |
| 65.66 | 24 | 4 4 0 |

Structure:
abc: 7.794 8.963 7.800
angles: 90.00 109.25 90.00
Space group P2/c (No. 13)
Symmetry-distinct sites (fractional):
Sm 0.000 0.124 0.250 (multiplicity 2)
Th 0.000 0.375 0.750 (multiplicity 2)
Th 0.500 0.125 0.750 (multiplicity 2)
Th 0.500 0.375 0.250 (multiplicity 2)
Sb 0.248 0.124 0.000 (multiplicity 4)
Sb 0.249 0.373 0.499 (multiplicity 4)

---

Simulated powder X-ray diffraction pattern of Na3F2 for CuKα, from a structure optimized by DFT (PBE).
Neutral-atom scattering factors, no anomalous dispersion.

The 10 most intense peaks (5 to 70 degrees two-theta), in order of rising 2θ:
| Position (°2θ) | I_rel | h k l |
| --- | --- | --- |
| 8.74 | 22 | 0 0 1 |
| 13.10 | 29 | 2 0 -1 |
| 32.30 | 13 | 3 1 0 |
| 36.85 | 100 | 1 1 -3 |
| 37.68 | 49 | 6 0 0 |
| 52.31 | 14 | 2 0 -6 |
| 53.06 | 29 | 7 1 -3 |
| 53.88 | 15 | 0 2 0 |
| 54.37 | 29 | 5 1 3 |
| 67.60 | 13 | 6 2 0 |

Structure:
abc: 14.864 3.403 10.500
angles: 90.00 105.47 90.00
Space group C2/m (No. 12)
Symmetry-distinct sites (fractional):
Na 0.000 0.000 0.000 (multiplicity 2)
Na 0.002 0.000 0.316 (multiplicity 4)
Na 0.164 0.500 0.901 (multiplicity 4)
Na 0.166 0.500 0.218 (multiplicity 4)
Na 0.167 0.500 0.542 (multiplicity 4)
F 0.004 0.500 0.156 (multiplicity 4)
F 0.168 0.000 0.056 (multiplicity 4)
F 0.168 0.000 0.379 (multiplicity 4)

---

Simulated powder X-ray diffraction pattern of CeDyTh3 for CuKα, from a structure optimized by DFT (PBE).
Neutral-atom scattering factors, no anomalous dispersion.

The 10 most intense peaks (5 to 70 degrees two-theta), in order of rising 2θ:
| Position (°2θ) | I_rel | h k l |
| --- | --- | --- |
| 30.59 | 86 | 1 0 3 |
| 31.07 | 65 | 0 0 10 |
| 31.71 | 100 | 1 0 4 |
| 34.71 | 63 | 1 0 6 |
| 36.54 | 59 | 1 0 7 |
| 50.85 | 19 | 1 0 13 |
| 51.60 | 49 | 1 1 0 |
| 53.66 | 28 | 1 0 14 |
| 61.47 | 58 | 1 1 10 |
| 61.84 | 15 | 2 0 4 |

Structure:
abc: 3.5425 3.5425 28.7871
angles: 90.00 90.00 120.00
Space group P6_3mc (No. 186)
Symmetry-distinct sites (fractional):
Ce 0.3333 0.6667 0.0000 (multiplicity 2)
Dy 0.0000 0.0000 0.3035 (multiplicity 2)
Th 0.0000 0.0000 0.0987 (multiplicity 2)
Th 0.3333 0.6667 0.4033 (multiplicity 2)
Th 0.3333 0.6667 0.6995 (multiplicity 2)

---

Simulated powder X-ray diffraction pattern of In2Hg4H3 for CuKα, from a structure optimized by DFT (PBE).
Neutral-atom scattering factors, no anomalous dispersion.

The 10 most intense peaks (5 to 70 degrees two-theta), in order of rising 2θ:
| Position (°2θ) | I_rel | h k l |
| --- | --- | --- |
| 18.79 | 29 | 1 0 0 |
| 20.01 | 43 | 0 1 -1 |
| 25.17 | 30 | 0 0 2 |
| 29.97 | 33 | 1 0 -2 |
| 30.35 | 32 | 1 -1 2 |
| 32.05 | 88 | 1 1 0 |
| 32.43 | 35 | 1 1 -1 |
| 32.61 | 36 | 1 -2 1 |
| 33.23 | 100 | 2 -1 0 |
| 33.94 | 52 | 0 1 2 |

Structure:
abc: 5.389 5.661 7.205
angles: 99.17 90.77 118.25
Space group P-1 (No. 2)
Symmetry-distinct sites (fractional):
In 0.012 0.028 0.276 (multiplicity 2)
Hg 0.313 0.621 0.882 (multiplicity 2)
Hg 0.396 0.792 0.318 (multiplicity 2)
H 0.000 0.000 0.000 (multiplicity 1)
H 0.208 0.418 0.359 (multiplicity 2)

---

Simulated powder X-ray diffraction pattern of Re2IrRu4 for CuKα, from a structure optimized by DFT (PBE).
Neutral-atom scattering factors, no anomalous dispersion.

The 10 most intense peaks (5 to 70 degrees two-theta), in order of rising 2θ:
| Position (°2θ) | I_rel | h k l |
| --- | --- | --- |
| 5.78 | 6 | 0 0 3 |
| 17.39 | 15 | 0 0 9 |
| 23.26 | 8 | 0 0 12 |
| 37.86 | 55 | 1 0 1 |
| 41.32 | 50 | 0 0 21 |
| 42.81 | 100 | 1 0 10 |
| 43.80 | 96 | 0 1 11 |
| 55.65 | 17 | 0 1 20 |
| 58.88 | 16 | 1 0 22 |
| 68.27 | 34 | 1 1 0 |

Structure:
abc: 2.7478 2.7478 45.8832
angles: 90.00 90.00 120.00
Space group R3m (No. 160, hexagonal axes)
Symmetry-distinct sites (fractional):
Re 0.0000 0.0000 0.0000 (multiplicity 3)
Re 0.0000 0.0000 0.0964 (multiplicity 3)
Ir 0.0000 0.0000 0.9051 (multiplicity 3)
Ru 0.0000 0.0000 0.1906 (multiplicity 3)
Ru 0.0000 0.0000 0.2864 (multiplicity 3)
Ru 0.0000 0.0000 0.7161 (multiplicity 3)
Ru 0.0000 0.0000 0.8105 (multiplicity 3)